# 1
Structure and computed powder diffractogram of AcDy3 (a DFT-relaxed cell (GGA-PBE, Alexandria); Cu Kα (weighted mean of Kα1 and Kα2)).

Structure:
abc: 7.4173 7.4173 5.8504
angles: 90.00 90.00 120.00
Positions (direct):
Ac (0.3333, 0.6667, 0.2500)
Ac (0.6667, 0.3333, 0.7500)
Dy (0.1622, 0.3243, 0.7500)
Dy (0.1622, 0.8378, 0.7500)
Dy (0.3243, 0.1622, 0.2500)
Dy (0.6757, 0.8378, 0.7500)
Dy (0.8378, 0.1622, 0.2500)
Dy (0.8378, 0.6757, 0.2500)

Largest 6 diffraction maxima, sorted by position, 15° ≤ 2θ ≤ 90°:
- 27.78 deg, I 24
- 30.56 deg, I 25
- 31.78 deg, I 100
- 49.13 deg, I 20
- 55.09 deg, I 21
- 58.98 deg, I 23

***

# 2
Structure and computed powder diffractogram of LiMgSn2Te4 (a DFT-relaxed cell (GGA-PBE, Alexandria); Cu Kα (weighted mean of Kα1 and Kα2)).

Structure:
abc: 7.4985 4.3118 7.5571
angles: 90.00 109.22 90.00
Positions (direct):
Li (0.0000, 0.0000, 0.0000)
Mg (0.5000, 0.5000, 0.0000)
Sn (0.0000, 0.5000, 0.5000)
Sn (0.5000, 0.0000, 0.5000)
Te (0.2475, 0.5000, 0.2340)
Te (0.2579, 0.0000, 0.7678)
Te (0.7421, 0.0000, 0.2322)
Te (0.7525, 0.5000, 0.7660)

Largest 6 diffraction maxima, sorted by position, 15° ≤ 2θ ≤ 90°:
- 24.15 deg, I 14
- 29.12 deg, I 100
- 41.49 deg, I 37
- 41.77 deg, I 25
- 41.90 deg, I 13
- 51.83 deg, I 13

***

# 3
Structure and computed powder diffractogram of ZrW (a DFT-relaxed cell (GGA-PBE, Alexandria); Cu Kα (weighted mean of Kα1 and Kα2)).

Structure:
abc: 5.4776 5.4776 7.1796
angles: 109.87 109.87 34.77
Positions (direct):
Zr (0.0000, 0.0000, 0.0000)
Zr (0.3295, 0.3295, 0.1898)
Zr (0.6705, 0.6705, 0.8102)
W (0.0000, 0.0000, 0.5000)
W (0.3371, 0.3371, 0.6382)
W (0.6629, 0.6629, 0.3618)

Largest 6 diffraction maxima, sorted by position, 15° ≤ 2θ ≤ 90°:
- 37.02 deg, I 49
- 37.18 deg, I 100
- 37.54 deg, I 50
- 39.02 deg, I 95
- 69.25 deg, I 30
- 69.95 deg, I 17

***

# 4
Structure and computed powder diffractogram of LiSbPO2F6 (a DFT-relaxed cell (GGA-PBE, Alexandria); Cu Kα (weighted mean of Kα1 and Kα2)).

Structure:
abc: 6.7431 7.3842 8.0634
angles: 93.58 109.98 95.88
Positions (direct):
Li (0.0000, 0.0000, 0.0000)
Li (0.1290, 0.5806, 0.5649)
Sb (0.2464, 0.0894, 0.6735)
Sb (0.2556, 0.4454, 0.1778)
P (0.4708, 0.8687, 0.2336)
P (0.8589, 0.5957, 0.8629)
O (0.0820, 0.5420, 0.9548)
O (0.2696, 0.9358, 0.1404)
O (0.4815, 0.6596, 0.2247)
O (0.8064, 0.7721, 0.9180)
F (0.0212, 0.0704, 0.7796)
F (0.0285, 0.2463, 0.1266)
F (0.0530, 0.0081, 0.4358)
F (0.1199, 0.5798, 0.3140)
F (0.1506, 0.3450, 0.6191)
F (0.2329, 0.8048, 0.6947)
F (0.3920, 0.3214, 0.0426)
F (0.4231, 0.3532, 0.3880)
F (0.5622, 0.9358, 0.4357)
F (0.6555, 0.9464, 0.1750)
F (0.6946, 0.4318, 0.8637)
F (0.8340, 0.5745, 0.6617)

Largest 6 diffraction maxima, sorted by position, 15° ≤ 2θ ≤ 90°:
- 15.99 deg, I 54
- 18.81 deg, I 100
- 19.62 deg, I 56
- 22.87 deg, I 71
- 23.01 deg, I 71
- 23.61 deg, I 45

***

# 5
Structure and computed powder diffractogram of Pm3SmGe2 (a DFT-relaxed cell (GGA-PBE, Alexandria); Cu Kα (weighted mean of Kα1 and Kα2)).

Structure:
abc: 4.4696 4.4696 8.3372
angles: 90.00 90.00 90.00
Positions (direct):
Pm (0.0000, 0.0000, 0.0000)
Pm (0.0000, 0.5000, 0.6421)
Pm (0.5000, 0.0000, 0.3579)
Sm (0.5000, 0.5000, 0.0000)
Ge (0.0000, 0.5000, 0.2769)
Ge (0.5000, 0.0000, 0.7231)

Largest 6 diffraction maxima, sorted by position, 15° ≤ 2θ ≤ 90°:
- 29.30 deg, I 24
- 30.24 deg, I 100
- 32.21 deg, I 33
- 35.65 deg, I 63
- 40.36 deg, I 49
- 52.56 deg, I 50

***

# 6
Structure and computed powder diffractogram of KCa3 (a DFT-relaxed cell (GGA-PBE, Alexandria); Cu Kα (weighted mean of Kα1 and Kα2)).

Structure:
abc: 3.8596 6.4451 7.6621
angles: 90.00 99.96 90.00
Positions (direct):
K (0.0000, 0.0000, 0.0000)
Ca (0.2380, 0.5000, 0.7333)
Ca (0.5000, 0.0000, 0.5000)
Ca (0.7620, 0.5000, 0.2666)

Largest 6 diffraction maxima, sorted by position, 15° ≤ 2θ ≤ 90°:
- 27.39 deg, I 70
- 27.68 deg, I 35
- 28.05 deg, I 100
- 39.82 deg, I 24
- 48.78 deg, I 12
- 48.82 deg, I 24

***

# 7
Structure and computed powder diffractogram of CaTi4S8 (a DFT-relaxed cell (GGA-PBE, Alexandria); Cu Kα (weighted mean of Kα1 and Kα2)).

Structure:
abc: 7.1332 7.1332 7.1332
angles: 61.06 61.06 61.06
Positions (direct):
Ca (0.0000, 0.0000, 0.0000)
Ti (0.0000, 0.5000, 0.5000)
Ti (0.5000, 0.0000, 0.5000)
Ti (0.5000, 0.5000, 0.0000)
Ti (0.5000, 0.5000, 0.5000)
S (0.2572, 0.2572, 0.2572)
S (0.2620, 0.2620, 0.7267)
S (0.2620, 0.7267, 0.2620)
S (0.2733, 0.7380, 0.7380)
S (0.7267, 0.2620, 0.2620)
S (0.7380, 0.2733, 0.7380)
S (0.7380, 0.7380, 0.2733)
S (0.7428, 0.7428, 0.7428)

Largest 6 diffraction maxima, sorted by position, 15° ≤ 2θ ≤ 90°:
- 15.01 deg, I 22
- 15.34 deg, I 26
- 35.32 deg, I 100
- 50.37 deg, I 32
- 51.24 deg, I 30
- 63.01 deg, I 15